Structure and theoretical X-ray powder pattern of FeCu2S2 (a cell relaxed with GGA-PBE; Cu Kα (λ = 1.5418 Å)).
Kinematic intensities with the Lorentz-polarization factor, no thermal factor.

Cell lengths 7.649, 7.649, 7.649 Å; angles 60.00, 60.00, 60.00 degrees
Element x y z (fractional)
Fe 0.376 0.376 0.376
Fe 0.376 0.376 0.872
Fe 0.376 0.872 0.376
Fe 0.872 0.376 0.376
Cu 0.102 0.633 0.633
Cu 0.359 0.880 0.880
Cu 0.633 0.102 0.633
Cu 0.633 0.633 0.102
Cu 0.633 0.633 0.633
Cu 0.880 0.359 0.880
Cu 0.880 0.880 0.359
Cu 0.880 0.880 0.880
S 0.000 0.000 0.000
S 0.008 0.008 0.492
S 0.008 0.492 0.008
S 0.008 0.492 0.492
S 0.492 0.008 0.008
S 0.492 0.008 0.492
S 0.492 0.492 0.008
S 0.500 0.500 0.500

The 10 most intense peaks (15° ≤ 2θ ≤ 90°), most intense first:
| Position (°2θ) | intensity |
| --- | --- |
| 47.55 | 100 |
| 33.12 | 37 |
| 28.58 | 35 |
| 88.57 | 28 |
| 27.34 | 17 |
| 69.52 | 14 |
| 56.42 | 13 |
| 36.19 | 12 |
| 79.20 | 9 |
| 59.17 | 8 |

=====

Structure and theoretical X-ray powder pattern of Dy4InHg (a cell relaxed with GGA-PBE; Cu Kα (λ = 1.5418 Å)).
Kinematic intensities with the Lorentz-polarization factor, no thermal factor.

Cell lengths 8.891, 8.891, 8.891 Å; angles 33.57, 33.57, 33.57 degrees
Element x y z (fractional)
Dy 0.123 0.123 0.123
Dy 0.373 0.373 0.373
Dy 0.627 0.627 0.627
Dy 0.877 0.877 0.877
In 0.500 0.500 0.500
Hg 0.000 0.000 0.000

The 10 most intense peaks (15° ≤ 2θ ≤ 90°), most intense first:
| Position (°2θ) | intensity |
| --- | --- |
| 34.95 | 100 |
| 62.68 | 37 |
| 21.19 | 26 |
| 50.26 | 18 |
| 84.36 | 16 |
| 24.52 | 14 |
| 41.23 | 14 |
| 73.82 | 11 |
| 55.13 | 6 |
| 56.69 | 6 |

=====

Structure and theoretical X-ray powder pattern of CdBPt3 (a cell relaxed with GGA-PBE; Cu Kα (λ = 1.5418 Å)).
Kinematic intensities with the Lorentz-polarization factor, no thermal factor.

Cell lengths 7.851, 7.851, 7.851 Å; angles 60.00, 60.00, 60.00 degrees
Element x y z (fractional)
Cd 0.000 0.000 0.000
Cd 0.000 0.000 0.500
Cd 0.000 0.500 0.000
Cd 0.500 0.000 0.000
B 0.000 0.500 0.500
B 0.500 0.000 0.500
B 0.500 0.500 0.000
B 0.500 0.500 0.500
Pt 0.175 0.175 0.575
Pt 0.175 0.575 0.175
Pt 0.175 0.575 0.575
Pt 0.425 0.425 0.825
Pt 0.425 0.825 0.425
Pt 0.425 0.825 0.825
Pt 0.575 0.175 0.175
Pt 0.575 0.175 0.575
Pt 0.575 0.575 0.175
Pt 0.825 0.425 0.425
Pt 0.825 0.425 0.825
Pt 0.825 0.825 0.425

The 10 most intense peaks (15° ≤ 2θ ≤ 90°), most intense first:
| Position (°2θ) | intensity |
| --- | --- |
| 42.30 | 100 |
| 35.24 | 88 |
| 39.77 | 75 |
| 46.26 | 72 |
| 72.20 | 56 |
| 32.25 | 53 |
| 22.65 | 35 |
| 69.27 | 34 |
| 59.46 | 28 |
| 64.47 | 22 |

=====

Structure and theoretical X-ray powder pattern of BaCaMg2In2 (a cell relaxed with GGA-PBE; Cu Kα (λ = 1.5418 Å)).
Kinematic intensities with the Lorentz-polarization factor, no thermal factor.

Cell lengths 5.131, 5.131, 8.289 Å; angles 90.00, 90.00, 120.00 degrees
Element x y z (fractional)
Ba 0.000 0.000 0.000
Ca 0.000 0.000 0.500
Mg 0.333 0.667 0.692
Mg 0.667 0.333 0.308
In 0.333 0.667 0.291
In 0.667 0.333 0.709

The 10 most intense peaks (15° ≤ 2θ ≤ 90°), most intense first:
| Position (°2θ) | intensity |
| --- | --- |
| 29.47 | 100 |
| 22.70 | 83 |
| 34.97 | 72 |
| 48.43 | 32 |
| 46.37 | 28 |
| 59.37 | 26 |
| 42.10 | 16 |
| 57.14 | 14 |
| 55.85 | 14 |
| 32.40 | 13 |

=====

Structure and theoretical X-ray powder pattern of Rb5Bi2I12 (a cell relaxed with GGA-PBE; Cu Kα (λ = 1.5418 Å)).
Kinematic intensities with the Lorentz-polarization factor, no thermal factor.

Cell lengths 11.249, 11.249, 11.979 Å; angles 108.00, 108.00, 46.37 degrees
Element x y z (fractional)
Rb 0.000 0.000 0.000
Rb 0.291 0.291 0.147
Rb 0.312 0.312 0.666
Rb 0.688 0.688 0.334
Rb 0.709 0.709 0.853
Bi 0.251 0.749 0.500
Bi 0.749 0.251 0.500
I 0.013 0.013 0.689
I 0.098 0.588 0.430
I 0.133 0.582 0.942
I 0.412 0.902 0.570
I 0.418 0.867 0.058
I 0.491 0.491 0.307
I 0.509 0.509 0.693
I 0.582 0.133 0.942
I 0.588 0.098 0.430
I 0.867 0.418 0.058
I 0.902 0.412 0.570
I 0.987 0.987 0.311

The 10 most intense peaks (15° ≤ 2θ ≤ 90°), most intense first:
| Position (°2θ) | intensity |
| --- | --- |
| 25.57 | 100 |
| 25.30 | 64 |
| 27.48 | 63 |
| 29.87 | 47 |
| 30.13 | 43 |
| 27.22 | 40 |
| 34.85 | 39 |
| 15.71 | 33 |
| 40.74 | 32 |
| 41.79 | 29 |

=====

Structure and theoretical X-ray powder pattern of Ca2InN (a cell relaxed with GGA-PBE; Cu Kα (λ = 1.5418 Å)).
Kinematic intensities with the Lorentz-polarization factor, no thermal factor.

Cell lengths 3.514, 20.448, 4.991 Å; angles 90.00, 90.00, 90.00 degrees
Element x y z (fractional)
Ca 0.000 0.122 0.250
Ca 0.000 0.281 0.250
Ca 0.000 0.719 0.750
Ca 0.000 0.878 0.750
Ca 0.500 0.219 0.750
Ca 0.500 0.378 0.750
Ca 0.500 0.622 0.250
Ca 0.500 0.781 0.250
In 0.000 0.459 0.250
In 0.000 0.541 0.750
In 0.500 0.041 0.750
In 0.500 0.959 0.250
N 0.000 0.300 0.750
N 0.000 0.700 0.250
N 0.500 0.200 0.250
N 0.500 0.800 0.750

The 10 most intense peaks (15° ≤ 2θ ≤ 90°), most intense first:
| Position (°2θ) | intensity |
| --- | --- |
| 31.79 | 100 |
| 35.99 | 48 |
| 31.44 | 46 |
| 25.72 | 45 |
| 38.28 | 41 |
| 33.86 | 36 |
| 24.93 | 35 |
| 33.63 | 34 |
| 62.30 | 27 |
| 28.58 | 23 |

=====

Structure and theoretical X-ray powder pattern of MnReP2 (a cell relaxed with GGA-PBE; Cu Kα (λ = 1.5418 Å)).
Kinematic intensities with the Lorentz-polarization factor, no thermal factor.

Cell lengths 3.089, 3.089, 5.335 Å; angles 90.00, 90.00, 90.00 degrees
Element x y z (fractional)
Mn 0.000 0.000 0.000
Re 0.500 0.500 0.641
P 0.000 0.000 0.443
P 0.500 0.500 0.138

The 10 most intense peaks (15° ≤ 2θ ≤ 90°), most intense first:
| Position (°2θ) | intensity |
| --- | --- |
| 33.54 | 100 |
| 44.89 | 90 |
| 41.34 | 61 |
| 16.62 | 51 |
| 70.42 | 29 |
| 77.87 | 28 |
| 28.91 | 28 |
| 54.28 | 23 |
| 59.89 | 20 |
| 78.04 | 14 |

=====

Structure and theoretical X-ray powder pattern of Er2Ag2C (a cell relaxed with GGA-PBE; Cu Kα (λ = 1.5418 Å)).
Kinematic intensities with the Lorentz-polarization factor, no thermal factor.

Cell lengths 3.525, 3.525, 28.447 Å; angles 90.00, 90.00, 120.00 degrees
Element x y z (fractional)
Er 0.000 0.000 0.120
Er 0.000 0.000 0.880
Er 0.333 0.667 0.547
Er 0.333 0.667 0.786
Er 0.667 0.333 0.214
Er 0.667 0.333 0.453
Ag 0.000 0.000 0.369
Ag 0.000 0.000 0.631
Ag 0.333 0.667 0.035
Ag 0.333 0.667 0.298
Ag 0.667 0.333 0.702
Ag 0.667 0.333 0.965
C 0.000 0.000 0.500
C 0.333 0.667 0.167
C 0.667 0.333 0.833

The 10 most intense peaks (15° ≤ 2θ ≤ 90°), most intense first:
| Position (°2θ) | intensity |
| --- | --- |
| 31.90 | 100 |
| 38.88 | 59 |
| 51.88 | 27 |
| 66.06 | 20 |
| 37.96 | 17 |
| 62.21 | 14 |
| 85.21 | 12 |
| 60.24 | 12 |
| 66.69 | 12 |
| 89.25 | 11 |

=====

Structure and theoretical X-ray powder pattern of KCa2P4O18 (a cell relaxed with GGA-PBE; Cu Kα (λ = 1.5418 Å)).
Kinematic intensities with the Lorentz-polarization factor, no thermal factor.

Cell lengths 5.488, 6.388, 12.563 Å; angles 82.02, 82.98, 66.82 degrees
Element x y z (fractional)
K 0.000 0.000 0.000
Ca 0.492 0.274 0.409
Ca 0.508 0.726 0.591
P 0.038 0.758 0.394
P 0.311 0.438 0.855
P 0.689 0.562 0.145
P 0.962 0.242 0.606
O 0.057 0.611 0.906
O 0.079 0.954 0.312
O 0.083 0.551 0.332
O 0.236 0.672 0.482
O 0.254 0.135 0.557
O 0.259 0.223 0.831
O 0.397 0.565 0.755
O 0.453 0.986 0.291
O 0.470 0.688 0.067
O 0.530 0.312 0.933
O 0.547 0.014 0.709
O 0.603 0.435 0.245
O 0.741 0.777 0.169
O 0.746 0.865 0.443
O 0.764 0.328 0.518
O 0.917 0.449 0.668
O 0.921 0.046 0.688
O 0.943 0.389 0.094

The 10 most intense peaks (15° ≤ 2θ ≤ 90°), most intense first:
| Position (°2θ) | intensity |
| --- | --- |
| 25.04 | 100 |
| 21.49 | 50 |
| 21.90 | 30 |
| 28.36 | 25 |
| 26.11 | 17 |
| 30.75 | 17 |
| 17.41 | 17 |
| 40.57 | 14 |
| 36.74 | 14 |
| 32.55 | 12 |

=====

Structure and theoretical X-ray powder pattern of Tb6Pm4Tm19 (a cell relaxed with GGA-PBE; Cu Kα (λ = 1.5418 Å)).
Kinematic intensities with the Lorentz-polarization factor, no thermal factor.

Cell lengths 10.702, 10.702, 10.702 Å; angles 109.47, 109.47, 109.47 degrees
Element x y z (fractional)
Tb 0.127 0.627 0.500
Tb 0.373 0.500 0.873
Tb 0.500 0.127 0.627
Tb 0.500 0.873 0.373
Tb 0.627 0.500 0.127
Tb 0.873 0.373 0.500
Pm 0.000 0.000 0.641
Pm 0.000 0.641 0.000
Pm 0.359 0.359 0.359
Pm 0.641 0.000 0.000
Tm 0.000 0.000 0.000
Tm 0.000 0.260 0.260
Tm 0.000 0.740 0.740
Tm 0.015 0.801 0.339
Tm 0.199 0.213 0.538
Tm 0.213 0.538 0.199
Tm 0.260 0.000 0.260
Tm 0.260 0.260 0.000
Tm 0.325 0.787 0.985
Tm 0.339 0.015 0.801
Tm 0.462 0.675 0.661
Tm 0.538 0.199 0.213
Tm 0.661 0.462 0.675
Tm 0.675 0.661 0.462
Tm 0.740 0.000 0.740
Tm 0.740 0.740 0.000
Tm 0.787 0.985 0.325
Tm 0.801 0.339 0.015
Tm 0.985 0.325 0.787

The 10 most intense peaks (15° ≤ 2θ ≤ 90°), most intense first:
| Position (°2θ) | intensity |
| --- | --- |
| 30.69 | 100 |
| 37.10 | 74 |
| 28.90 | 65 |
| 27.00 | 50 |
| 35.59 | 46 |
| 60.90 | 29 |
| 54.57 | 26 |
| 61.92 | 21 |
| 42.66 | 20 |
| 52.35 | 18 |

=====

Structure and theoretical X-ray powder pattern of U2S3 (a cell relaxed with GGA-PBE; Cu Kα (λ = 1.5418 Å)).
Kinematic intensities with the Lorentz-polarization factor, no thermal factor.

Cell lengths 10.500, 3.791, 10.467 Å; angles 90.00, 90.00, 90.00 degrees
Element x y z (fractional)
U 0.011 0.250 0.182
U 0.186 0.250 0.511
U 0.314 0.750 0.011
U 0.489 0.750 0.682
U 0.511 0.250 0.318
U 0.686 0.250 0.989
U 0.814 0.750 0.489
U 0.989 0.750 0.818
S 0.052 0.750 0.369
S 0.127 0.250 0.946
S 0.226 0.750 0.705
S 0.274 0.250 0.205
S 0.373 0.750 0.446
S 0.448 0.250 0.869
S 0.552 0.750 0.131
S 0.627 0.250 0.554
S 0.726 0.750 0.795
S 0.774 0.250 0.295
S 0.873 0.750 0.054
S 0.948 0.250 0.631

The 10 most intense peaks (15° ≤ 2θ ≤ 90°), most intense first:
| Position (°2θ) | intensity |
| --- | --- |
| 26.89 | 100 |
| 24.01 | 73 |
| 30.32 | 69 |
| 36.00 | 51 |
| 50.78 | 43 |
| 42.82 | 43 |
| 45.48 | 39 |
| 26.40 | 38 |
| 72.45 | 32 |
| 24.98 | 30 |

=====

Structure and theoretical X-ray powder pattern of CaAcZnSi (a cell relaxed with GGA-PBE; Cu Kα (λ = 1.5418 Å)).
Kinematic intensities with the Lorentz-polarization factor, no thermal factor.

Cell lengths 4.280, 4.496, 11.534 Å; angles 90.00, 90.00, 90.00 degrees
Element x y z (fractional)
Ca 0.000 0.000 0.000
Ca 0.000 0.500 0.500
Ac 0.500 0.000 0.720
Ac 0.500 0.500 0.220
Zn 0.000 0.000 0.308
Zn 0.000 0.500 0.808
Si 0.500 0.000 0.433
Si 0.500 0.500 0.933

The 10 most intense peaks (15° ≤ 2θ ≤ 90°), most intense first:
| Position (°2θ) | intensity |
| --- | --- |
| 29.85 | 100 |
| 15.36 | 54 |
| 30.60 | 46 |
| 37.26 | 41 |
| 25.92 | 37 |
| 21.21 | 30 |
| 37.61 | 25 |
| 53.04 | 20 |
| 40.12 | 18 |
| 42.23 | 16 |